# La3Nd4Dy3
Calculated XRD peak list, Cu Kα (weighted mean of Kα1 and Kα2). Input: a DFT-relaxed cell (PBE, Alexandria).

The 12 most intense peaks (2θ = 10–90°), low angle first:
2θ (°)  I_rel  hkl
29.35  29  0 4 2
29.45  29  0 2 4
29.76  25  1 2 2
31.22  100  1 3 1
45.52  12  1 3 5
47.28  11  2 0 0
54.16  10  0 0 8
54.27  7  1 4 6
56.66  18  2 2 4
56.80  9  1 7 3
57.00  9  1 3 7
77.76  7  3 3 1

Cell and atoms:
a b c (Å): 3.845 13.624 13.547
angles (deg): 90.00 90.00 90.00
Space group Amm2 (No. 38)
Asymmetric unit:
La 0.000 0.000 0.000 x2
La 0.500 0.245 0.418 x4
Nd 0.500 0.000 0.542 x2
Nd 0.500 0.000 0.795 x2
Nd 0.500 0.129 0.173 x4
Dy 0.000 0.000 0.341 x2
Dy 0.000 0.169 0.669 x4